# 1
For TlAsClF6, a cell relaxed with PBE gives the simulated PXRD pattern in this record (Cu Kα).
No peak broadening, texture or thermal motion is included.

Principal peaks in the range 2θ = 10–90°, in order of rising 2θ:
14.46°, intensity 88, (0 0 1)
18.32°, intensity 100, (1 0 0)
23.83°, intensity 81, (1 0 -1)
24.17°, intensity 81, (0 1 -1)
25.11°, intensity 54, (1 -1 0)
26.33°, intensity 74, (1 1 1)
30.47°, intensity 52, (1 -1 1)
37.91°, intensity 52, (1 2 0)

```
TlAsClF6
1.0
4.849 0.000 0.000
0.191 5.475 0.000
0.265 1.264 6.125
Tl As Cl F
1 1 1 6
Direct
0.000 0.000 0.000
0.803 0.596 0.647
0.344 0.289 0.252
0.016 0.893 0.633
0.088 0.552 0.249
0.117 0.445 0.757
0.593 0.020 0.261
0.657 0.682 0.893
0.660 0.270 0.764
```

# 2
For DyEr3Bi2, a cell relaxed with PBE gives the simulated PXRD pattern in this record (Cu Kα).
No peak broadening, texture or thermal motion is included.

Principal peaks in the range 2θ = 10–90°, in order of rising 2θ:
27.83°, intensity 23, (1 1 0)
29.78°, intensity 82, (1 1 1)
31.48°, intensity 41, (0 0 3)
35.03°, intensity 100, (1 1 2)
39.77°, intensity 60, (2 0 0)
51.57°, intensity 46, (2 0 3)
57.51°, intensity 21, (2 2 0)
69.14°, intensity 28, (3 1 2)

```
DyEr3Bi2
1.0
4.533 0.000 0.000
0.000 4.533 0.000
0.000 0.000 8.525
Dy Er Bi
1 3 2
Direct
0.000 0.000 0.000
0.000 0.500 0.343
0.500 0.000 0.657
0.500 0.500 0.000
0.000 0.500 0.713
0.500 0.000 0.287
```

# 3
For Pr3CrB2N6, a cell relaxed with PBE gives the simulated PXRD pattern in this record (Cu Kα).
No peak broadening, texture or thermal motion is included.

Principal peaks in the range 2θ = 10–90°, in order of rising 2θ:
23.74°, intensity 100, (1 0 1)
33.16°, intensity 90, (1 1 0)
34.46°, intensity 81, (0 1 2)
41.19°, intensity 44, (0 2 1)
48.58°, intensity 41, (2 0 2)
53.87°, intensity 25, (2 1 1)
55.64°, intensity 25, (1 1 3)
60.08°, intensity 31, (1 2 2)

```
Pr3CrB2N6
1.0
5.403 0.000 0.000
-2.702 4.679 0.000
0.000 0.000 6.262
Pr Cr B N
3 1 2 6
Direct
0.000 0.000 0.000
0.333 0.667 0.670
0.667 0.333 0.330
0.000 0.000 0.500
0.333 0.667 0.270
0.667 0.333 0.730
0.178 0.355 0.293
0.178 0.822 0.293
0.355 0.178 0.707
0.645 0.822 0.293
0.822 0.178 0.707
0.822 0.645 0.707
```

Number 1 is which compound?
TlAsClF6